[1]
Diffraction record for Li2MnO2F. The powder XRD pattern is computed, not measured: it uses a PBE+U-relaxed structure and Cu Kα, 1.54184 Å.
Kinematic intensities with the Lorentz-polarization factor, no thermal factor.

Principal peaks in the range 2θ = 15–90°, most intense first:
- (2 0 2), 42.98 deg, d 2.104, intensity 1000
- (1 1 -1), 20.77 deg, d 4.276, intensity 872
- (0 2 2), 27.16 deg, d 3.283, intensity 400
- (1 3 5), 62.50 deg, d 1.486, intensity 247
- (2 0 -6), 62.31 deg, d 1.490, intensity 239
- (1 1 1), 23.36 deg, d 3.808, intensity 223
- (0 2 0), 19.93 deg, d 4.455, intensity 151
- (1 1 3), 36.85 deg, d 2.439, intensity 141
- (0 0 8), 78.85 deg, d 1.214, intensity 106
- (2 2 0), 40.85 deg, d 2.209, intensity 94
- (0 4 2), 44.76 deg, d 2.025, intensity 81
- (3 1 1), 57.72 deg, d 1.597, intensity 78

Cell lengths 5.1691, 8.9098, 9.8672 Å; angles 90.00, 100.15, 90.00 degrees
Space group C2 (No. 5)
Inequivalent atoms, fractional coordinates:
Li 0.0000 0.0000 0.0000 [2 per cell]
Li 0.0000 0.1425 0.5000 [2 per cell]
Li 0.0000 0.4653 0.5000 [2 per cell]
Li 0.0000 0.6475 0.0000 [2 per cell]
Li 0.2154 0.3051 0.7496 [4 per cell]
Li 0.2481 0.4813 0.2553 [4 per cell]
Mn 0.0000 0.3316 0.0000 [2 per cell]
Mn 0.0000 0.7843 0.5000 [2 per cell]
Mn 0.2266 0.6415 0.7551 [4 per cell]
O 0.0656 0.1703 0.8740 [4 per cell]
O 0.1060 0.4882 0.8756 [4 per cell]
O 0.1139 0.6381 0.3659 [4 per cell]
O 0.1689 0.2893 0.3768 [4 per cell]
F 0.0908 0.8281 0.8768 [4 per cell]
F 0.1324 0.9656 0.3809 [4 per cell]



[2]
Diffraction record for LiMnOF2. The powder XRD pattern is computed, not measured: it uses a PBE+U-relaxed structure and Cu Kα, 1.54184 Å.
Kinematic intensities with the Lorentz-polarization factor, no thermal factor.

Principal peaks in the range 2θ = 15–90°, most intense first:
- (2 0 0), 18.44 deg, d 4.812, intensity 1000
- (3 3 -1), 43.24 deg, d 2.092, intensity 587
- (2 0 2), 41.63 deg, d 2.169, intensity 325
- (1 3 -1), 35.24 deg, d 2.547, intensity 316
- (1 3 -3), 60.89 deg, d 1.521, intensity 209
- (0 0 2), 34.14 deg, d 2.626, intensity 200
- (3 1 0), 29.59 deg, d 3.018, intensity 198
- (0 2 1), 26.22 deg, d 3.399, intensity 188
- (5 3 1), 62.27 deg, d 1.491, intensity 177
- (5 3 -1), 57.47 deg, d 1.603, intensity 146
- (2 2 -1), 30.66 deg, d 2.916, intensity 126
- (0 6 0), 62.51 deg, d 1.486, intensity 94

Cell lengths 9.7398, 8.9152, 5.3159 Å; angles 90.00, 98.85, 90.00 degrees
Space group C2/c (No. 15)
Inequivalent atoms, fractional coordinates:
Li 0.1947 0.0867 0.3345 [8 per cell]
Mn 0.0000 0.2422 0.7500 [4 per cell]
Mn 0.0000 0.4103 0.2500 [4 per cell]
O 0.0971 0.4030 0.5992 [8 per cell]
F 0.1207 0.2464 0.1283 [8 per cell]
F 0.1223 0.0886 0.6468 [8 per cell]



[3]
Diffraction record for Li3MnO2F2. The powder XRD pattern is computed, not measured: it uses a PBE+U-relaxed structure and Cu Kα, 1.54184 Å.
Kinematic intensities with the Lorentz-polarization factor, no thermal factor.

Principal peaks in the range 2θ = 15–90°, most intense first:
- (1 1 0), 18.27 deg, d 4.856, intensity 1000
- (2 0 1), 44.46 deg, d 2.038, intensity 624
- (0 4 0), 40.77 deg, d 2.213, intensity 415
- (2 4 1), 61.89 deg, d 1.499, intensity 382
- (0 2 0), 20.06 deg, d 4.426, intensity 295
- (1 3 0), 34.08 deg, d 2.631, intensity 283
- (1 1 1), 36.45 deg, d 2.465, intensity 223
- (2 0 0), 30.79 deg, d 2.904, intensity 160
- (1 3 1), 46.92 deg, d 1.936, intensity 155
- (0 0 1), 31.27 deg, d 2.861, intensity 146
- (3 1 1), 58.51 deg, d 1.578, intensity 95
- (2 2 1), 49.22 deg, d 1.851, intensity 86

Cell lengths 5.8073, 8.8529, 2.8608 Å; angles 90.00, 90.00, 90.00 degrees
Space group Cmmm (No. 65)
Inequivalent atoms, fractional coordinates:
Li 0.0000 0.0000 0.0000 [2 per cell]
Li 0.2500 0.2500 0.5000 [4 per cell]
Mn 0.0000 0.5000 0.0000 [2 per cell]
O 0.2273 0.5000 0.5000 [4 per cell]
F 0.0000 0.2399 0.0000 [4 per cell]



[4]
Diffraction record for LiMn6O4F8. The powder XRD pattern is computed, not measured: it uses a PBE+U-relaxed structure and Cu Kα, 1.54184 Å.
Kinematic intensities with the Lorentz-polarization factor, no thermal factor.

Principal peaks in the range 2θ = 15–90°, most intense first:
- (1 1 1), 23.52 deg, d 3.783, intensity 1000
- (-1 1 1), 26.95 deg, d 3.309, intensity 816
- (0 2 -1), 33.23 deg, d 2.696, intensity 435
- (1 1 -2), 32.08 deg, d 2.790, intensity 319
- (2 1 3), 48.79 deg, d 1.866, intensity 222
- (1 0 2), 27.83 deg, d 3.206, intensity 222
- (1 0 1), 19.87 deg, d 4.469, intensity 209
- (1 -1 2), 33.29 deg, d 2.692, intensity 168
- (1 2 -2), 41.50 deg, d 2.176, intensity 161
- (0 2 -4), 57.59 deg, d 1.601, intensity 145
- (2 1 2), 41.39 deg, d 2.181, intensity 141
- (0 0 3), 34.45 deg, d 2.603, intensity 135

Cell lengths 5.3492, 5.8577, 7.8209 Å; angles 88.16, 87.41, 82.20 degrees
Space group P1 (No. 1)
Inequivalent atoms, fractional coordinates:
Li 0.0000 0.0000 0.0000 [1 per cell]
Mn 0.2309 0.7553 0.3367 [1 per cell]
Mn 0.2642 0.4642 0.6926 [1 per cell]
Mn 0.4035 0.1964 0.0255 [1 per cell]
Mn 0.6450 0.6852 0.0139 [1 per cell]
Mn 0.7414 0.9462 0.6578 [1 per cell]
Mn 0.8493 0.3663 0.3695 [1 per cell]
O 0.0931 0.5349 0.4867 [1 per cell]
O 0.3833 0.9119 0.1529 [1 per cell]
O 0.4407 0.4737 0.8947 [1 per cell]
O 0.6702 0.0158 0.9105 [1 per cell]
F 0.0455 0.2818 0.1263 [1 per cell]
F 0.1594 0.1474 0.7986 [1 per cell]
F 0.4933 0.7643 0.5263 [1 per cell]
F 0.5271 0.4443 0.2259 [1 per cell]
F 0.5660 0.2816 0.5714 [1 per cell]
F 0.9382 0.7442 0.1795 [1 per cell]
F 0.9641 0.6590 0.8022 [1 per cell]
F 0.9880 0.0269 0.4545 [1 per cell]



[5]
Diffraction record for Li6Mn2O5F2. The powder XRD pattern is computed, not measured: it uses a PBE+U-relaxed structure and Cu Kα, 1.54184 Å.
Kinematic intensities with the Lorentz-polarization factor, no thermal factor.

Principal peaks in the range 2θ = 15–90°, most intense first:
- (0 1 1), 17.43 deg, d 5.087, intensity 1000
- (1 2 2), 42.72 deg, d 2.117, intensity 660
- (1 0 -2), 21.68 deg, d 4.099, intensity 592
- (1 1 1), 27.34 deg, d 3.262, intensity 494
- (2 0 -4), 44.20 deg, d 2.049, intensity 324
- (1 1 -1), 23.09 deg, d 3.853, intensity 181
- (3 2 -2), 62.51 deg, d 1.486, intensity 172
- (1 2 -6), 63.77 deg, d 1.459, intensity 167
- (2 2 0), 48.02 deg, d 1.894, intensity 143
- (0 2 0), 29.70 deg, d 3.008, intensity 125
- (1 0 2), 30.00 deg, d 2.979, intensity 102
- (0 1 3), 31.87 deg, d 2.808, intensity 96

Cell lengths 5.1289, 6.0170, 10.0144 Å; angles 90.00, 107.98, 90.00 degrees
Space group Pc (No. 7)
Inequivalent atoms, fractional coordinates:
Li 0.0000 0.0109 0.0000 [2 per cell]
Li 0.0293 0.4573 0.9937 [2 per cell]
Li 0.0691 0.2861 0.2303 [2 per cell]
Li 0.4198 0.2660 0.4889 [2 per cell]
Li 0.4554 0.4677 0.7242 [2 per cell]
Li 0.4624 0.0302 0.7073 [2 per cell]
Mn 0.5001 0.2243 0.9849 [2 per cell]
Mn 0.9680 0.2366 0.7272 [2 per cell]
O 0.1835 0.2586 0.6048 [2 per cell]
O 0.2439 0.4468 0.8606 [2 per cell]
O 0.2874 0.2394 0.1100 [2 per cell]
O 0.7094 0.0368 0.5892 [2 per cell]
O 0.7354 0.2361 0.8570 [2 per cell]
F 0.2115 0.0479 0.3534 [2 per cell]
F 0.7557 0.4678 0.1247 [2 per cell]



[6]
Diffraction record for Li3Mn5O2F9. The powder XRD pattern is computed, not measured: it uses a PBE+U-relaxed structure and Cu Kα, 1.54184 Å.
Kinematic intensities with the Lorentz-polarization factor, no thermal factor.

Principal peaks in the range 2θ = 15–90°, most intense first:
- (0 2 2), 28.52 deg, d 3.130, intensity 1000
- (1 1 2), 21.81 deg, d 4.076, intensity 621
- (2 0 2), 32.25 deg, d 2.776, intensity 595
- (1 1 -2), 26.11 deg, d 3.413, intensity 549
- (2 0 -2), 33.33 deg, d 2.688, intensity 500
- (0 2 -2), 34.13 deg, d 2.627, intensity 401
- (1 0 1), 15.94 deg, d 5.559, intensity 398
- (2 1 2), 31.22 deg, d 2.865, intensity 361
- (-2 1 3), 41.43 deg, d 2.180, intensity 343
- (2 2 4), 44.45 deg, d 2.038, intensity 314
- (0 1 -2), 23.32 deg, d 3.815, intensity 311
- (1 1 0), 17.02 deg, d 5.211, intensity 309

Cell lengths 6.5559, 7.0681, 10.7289 Å; angles 78.36, 85.45, 77.64 degrees
Space group P1 (No. 1)
Inequivalent atoms, fractional coordinates:
Li 0.0000 0.0000 0.0000 [1 per cell]
Li 0.0190 0.9184 0.4581 [1 per cell]
Li 0.4154 0.2640 0.9170 [1 per cell]
Li 0.4958 0.3218 0.5052 [1 per cell]
Li 0.6634 0.5044 0.7199 [1 per cell]
Li 0.7952 0.7021 0.2016 [1 per cell]
Mn 0.1222 0.6344 0.6790 [1 per cell]
Mn 0.2100 0.1219 0.2363 [1 per cell]
Mn 0.2665 0.0481 0.7118 [1 per cell]
Mn 0.3413 0.6336 0.2493 [1 per cell]
Mn 0.5337 0.8156 0.9895 [1 per cell]
Mn 0.5391 0.8225 0.4531 [1 per cell]
Mn 0.6638 0.2554 0.2059 [1 per cell]
Mn 0.7795 0.0114 0.7293 [1 per cell]
Mn 0.8603 0.4953 0.9637 [1 per cell]
Mn 0.9431 0.4116 0.4591 [1 per cell]
O 0.0579 0.9371 0.6326 [1 per cell]
O 0.2731 0.8572 0.3527 [1 per cell]
O 0.4978 0.0217 0.8374 [1 per cell]
O 0.6106 0.5635 0.1220 [1 per cell]
F 0.0441 0.5469 0.2703 [1 per cell]
F 0.1653 0.4643 0.8702 [1 per cell]
F 0.2018 0.3664 0.5864 [1 per cell]
F 0.2446 0.8561 0.0757 [1 per cell]
F 0.3927 0.2894 0.3345 [1 per cell]
F 0.4281 0.1969 0.0967 [1 per cell]
F 0.4376 0.6462 0.6286 [1 per cell]
F 0.5394 0.0375 0.5660 [1 per cell]
F 0.6227 0.5334 0.3878 [1 per cell]
F 0.6394 0.3866 0.8878 [1 per cell]
F 0.7086 0.9375 0.2739 [1 per cell]
F 0.7410 0.3127 0.6141 [1 per cell]
F 0.8110 0.6794 0.7731 [1 per cell]
F 0.8523 0.7982 0.0112 [1 per cell]
F 0.8791 0.6927 0.5113 [1 per cell]
F 0.9217 0.1880 0.3569 [1 per cell]
F 0.9610 0.2149 0.0955 [1 per cell]
F 0.9988 0.1179 0.8350 [1 per cell]